(1)
This entry pairs a crystal structure of AcPaRh4 with its computed powder XRD pattern. Radiation: Cu Kα X-rays. Structure: DFT lattice parameters and positions (GGA-PBE).

abc: 8.016 4.104 7.413
angles: 90.00 90.00 90.00
Sites, in units of the cell vectors:
Ac  0.250  0.000  0.171
Ac  0.750  0.000  0.829
Pa  0.250  0.000  0.726
Pa  0.750  0.000  0.274
Rh  0.000  0.000  0.500
Rh  0.046  0.500  0.813
Rh  0.250  0.500  0.472
Rh  0.454  0.500  0.813
Rh  0.500  0.000  0.500
Rh  0.546  0.500  0.187
Rh  0.750  0.500  0.528
Rh  0.954  0.500  0.187

Largest 6 diffraction maxima, in order of falling intensity, 10° ≤ 2θ ≤ 90°:
Position (°2θ)  I/Imax
39.74  100.0
33.51  44.3
34.47  37.2
31.19  36.6
44.13  31.9
78.19  24.0


(2)
This entry pairs a crystal structure of Ac3Pa2Rh4 with its computed powder XRD pattern. Radiation: Cu Kα X-rays. Structure: DFT lattice parameters and positions (GGA-PBE).

abc: 6.572 6.572 9.792
angles: 100.07 100.07 35.18
Sites, in units of the cell vectors:
Ac  0.000  0.000  0.000
Ac  0.376  0.376  0.610
Ac  0.624  0.624  0.390
Pa  0.314  0.314  0.215
Pa  0.686  0.686  0.785
Rh  0.075  0.075  0.645
Rh  0.303  0.303  0.922
Rh  0.697  0.697  0.078
Rh  0.925  0.925  0.355

Largest 6 diffraction maxima, in order of falling intensity, 10° ≤ 2θ ≤ 90°:
Position (°2θ)  I/Imax
31.33  100.0
28.93  70.9
37.78  63.3
29.21  36.3
54.95  34.3
45.68  31.7


(3)
This entry pairs a crystal structure of Ac2YPaRh6 with its computed powder XRD pattern. Radiation: Cu Kα X-rays. Structure: DFT lattice parameters and positions (GGA-PBE).

abc: 5.977 5.977 8.943
angles: 109.46 109.46 59.99
Sites, in units of the cell vectors:
Ac  0.219  0.219  0.158
Ac  0.781  0.781  0.842
Y  0.000  0.000  0.500
Pa  0.500  0.500  0.000
Rh  0.231  0.745  0.223
Rh  0.255  0.255  0.776
Rh  0.255  0.769  0.777
Rh  0.745  0.231  0.223
Rh  0.745  0.745  0.224
Rh  0.769  0.255  0.777

Largest 6 diffraction maxima, in order of falling intensity, 10° ≤ 2θ ≤ 90°:
Position (°2θ)  I/Imax
37.67  100.0
10.72  94.5
22.39  41.7
35.44  39.4
29.90  35.1
45.70  29.9


(4)
This entry pairs a crystal structure of AcPa3S8 with its computed powder XRD pattern. Radiation: Cu Kα X-rays. Structure: DFT lattice parameters and positions (GGA-PBE).

abc: 8.616 8.616 8.616
angles: 56.11 56.11 56.11
Sites, in units of the cell vectors:
Ac  0.000  0.000  0.000
Pa  0.000  0.000  0.500
Pa  0.000  0.500  0.000
Pa  0.500  0.000  0.000
S  0.205  0.751  0.751
S  0.231  0.231  0.231
S  0.249  0.249  0.795
S  0.249  0.795  0.249
S  0.751  0.205  0.751
S  0.751  0.751  0.205
S  0.769  0.769  0.769
S  0.795  0.249  0.249

Largest 6 diffraction maxima, in order of falling intensity, 10° ≤ 2θ ≤ 90°:
Position (°2θ)  I/Imax
13.26  100.0
30.33  83.5
12.23  51.2
25.19  39.0
26.70  35.0
42.10  30.9